The following is a simulated powder diffraction line list of Ac3DyPt3. It was derived from a crystal structure in Alexandria, relaxed with PBE, using CuKα.
No peak broadening, texture or thermal motion is included.

Largest 12 diffraction maxima, in order of falling intensity, 10° ≤ 2θ ≤ 80°:
h k l	2θ/deg	I/Imax
2 2 1	31.80	100
2 2 -2	33.87	94
0 1 4	29.00	81
2 1 1	24.36	55
4 0 0	41.27	45
2 1 -5	41.01	37
2 1 5	41.20	36
0 3 3	40.73	30
0 0 4	26.49	23
0 4 1	48.10	22
2 1 -2	26.90	22
2 2 -3	37.06	17

Atomic structure:
a b c (Å): 8.7501 7.6428 13.4592
angles (deg): 90.00 90.32 90.00
Space group P2_1/c (No. 14)
One atom of each set of equivalent atoms:
Ac (0.1164, 0.1557, 0.1672) (multiplicity 4)
Ac (0.3710, 0.6841, 0.3284) (multiplicity 4)
Ac (0.3805, 0.1943, 0.4273) (multiplicity 4)
Dy (0.1408, 0.6535, 0.0655) (multiplicity 4)
Pt (0.1158, 0.5465, 0.8652) (multiplicity 4)
Pt (0.3474, 0.5499, 0.5460) (multiplicity 4)
Pt (0.3666, 0.0650, 0.6479) (multiplicity 4)